The following is a computed powder XRD pattern of Pr8Tm6Th. It was derived from a crystal structure in Alexandria, relaxed with PBE, using Cu Kα X-rays.
Intensities are scaled so that the largest is 100.

Cell and atoms:
a = 9.1111 Å, b = 9.1111 Å, c = 21.1168 Å
α = 90.00°, β = 90.00°, γ = 120.00°
Space group R-3 (No. 148, hexagonal axes)
Symmetry-distinct sites (fractional):
Pr: 0.0000 0.0000 0.0786 x6
Pr: 0.0808 0.5634 0.3033 x18
Tm: 0.0412 0.2423 0.2059 x18
Th: 0.0000 0.0000 0.5000 x3

The 10 most intense peaks (10 to 80 degrees two-theta), by intensity:
hkl 3 -2 2, 2θ 31.2, I 100; hkl 2 0 5, 2θ 31.0, I 65; hkl 1 0 7, 2θ 31.8, I 53; hkl 3 -1 1, 2θ 30.3, I 50; hkl 1 1 6, 2θ 32.1, I 23; hkl 0 3 3, 2θ 36.5, I 22; hkl 2 1 4, 2θ 34.5, I 21; hkl 5 -1 3, 2θ 54.9, I 20; hkl 1 4 0, 2θ 53.2, I 15; hkl 0 3 9, 2θ 52.2, I 14

The following is a computed powder XRD pattern of Pr3Tm5Th2. It was derived from a crystal structure in Alexandria, relaxed with PBE, using Cu Kα X-rays.
Intensities are scaled so that the largest is 100.

Cell and atoms:
a = 10.7352 Å, b = 16.9599 Å, c = 9.0357 Å
α = 90.00°, β = 126.30°, γ = 90.00°
Space group C2/c (No. 15)
Symmetry-distinct sites (fractional):
Pr: 0.0000 0.2256 0.2500 x4
Pr: 0.1474 0.1223 0.0421 x8
Tm: 0.0000 0.0301 0.2500 x4
Tm: 0.0000 0.2774 0.7500 x4
Tm: 0.0000 0.4670 0.7500 x4
Tm: 0.2492 0.1096 0.7518 x8
Th: 0.1386 0.3808 0.5290 x8

The 10 most intense peaks (10 to 80 degrees two-theta), by intensity:
hkl 2 2 1, 2θ 31.5, I 100; hkl 2 4 0, 2θ 29.5, I 71; hkl 4 0 -2, 2θ 33.4, I 42; hkl 2 6 -1, 2θ 35.9, I 24; hkl 0 4 2, 2θ 32.4, I 21; hkl 2 10 1, 2θ 62.9, I 19; hkl 0 6 3, 2θ 49.5, I 16; hkl 4 4 -4, 2θ 47.2, I 15; hkl 0 4 0, 2θ 21.0, I 14; hkl 2 4 -6, 2θ 70.6, I 13